# CdAgSO
Computed powder diffraction line list, copper Kα. Input: a structure optimized by DFT (GGA-PBE).

Structural model:
```
CdAgSO
1.0
3.4957 0.0000 0.0000
0.0000 13.9291 0.0000
0.0000 0.0000 5.9725
Cd Ag S O
4 4 4 4
Direct
0.0000 0.1873 0.0000
0.0000 0.8127 0.5000
0.5000 0.3127 0.5000
0.5000 0.6873 0.0000
0.0000 0.4575 0.9263
0.0000 0.5425 0.4263
0.5000 0.0425 0.4263
0.5000 0.9575 0.9263
0.0000 0.1680 0.5562
0.0000 0.8320 0.0562
0.5000 0.3320 0.0562
0.5000 0.6680 0.5562
0.0000 0.4038 0.5803
0.0000 0.5962 0.0803
0.5000 0.0962 0.0803
0.5000 0.9038 0.5803
```

Peak list (12 most intense, 10° ≤ 2θ ≤ 80°, most intense first)
d/Å	intensity	(hkl)
2.793	100.0	1 3 0
3.008	82.6	0 4 1
2.986	65.8	0 0 2
2.040	56.8	1 3 2
2.949	51.3	1 1 1
1.661	33.0	1 7 1
1.511	24.6	2 4 1
1.748	19.4	2 0 0
2.241	17.7	1 1 2
2.745	16.8	0 2 2
1.728	15.6	0 4 3
1.508	15.3	2 0 2